1.
# MnNi2Se4
Calculated X-ray powder pattern, Cu Kα X-rays. Input: a PBE-relaxed structure.
Neutral-atom scattering factors, no anomalous dispersion.

Principal peaks in the range 2θ from 10° to 80°, sorted by position:
15.05 deg, d 5.886, rel. 23
24.70 deg, d 3.604, rel. 13
29.05 deg, d 3.074, rel. 38
30.37 deg, d 2.943, rel. 40
35.21 deg, d 2.549, rel. 91
46.27 deg, d 1.962, rel. 37
50.65 deg, d 1.802, rel. 100
60.21 deg, d 1.537, rel. 13
63.16 deg, d 1.472, rel. 14
74.45 deg, d 1.274, rel. 14

Structure:
Cell: 7.2044 7.2044 7.2044 Å, 60.08 60.08 60.08°
Atoms (fractional coordinates):
Mn 0.1249 0.1249 0.1249
Mn 0.8751 0.8751 0.8751
Ni 0.0000 0.5000 0.5000
Ni 0.5000 0.0000 0.5000
Ni 0.5000 0.5000 0.0000
Ni 0.5000 0.5000 0.5000
Se 0.2612 0.2612 0.2612
Se 0.2608 0.2608 0.7168
Se 0.2608 0.7168 0.2608
Se 0.2832 0.7392 0.7392
Se 0.7168 0.2608 0.2608
Se 0.7392 0.2832 0.7392
Se 0.7392 0.7392 0.2832
Se 0.7388 0.7388 0.7388



2.
# Li2Ca4Ag5
Calculated X-ray powder pattern, Cu Kα X-rays. Input: a PBE-relaxed structure.
Neutral-atom scattering factors, no anomalous dispersion.

Principal peaks in the range 2θ from 10° to 80°, sorted by position:
20.75 deg, d 4.281, rel. 83
24.82 deg, d 3.587, rel. 100
31.38 deg, d 2.851, rel. 80
33.14 deg, d 2.703, rel. 40
33.30 deg, d 2.690, rel. 42
33.55 deg, d 2.671, rel. 82
33.75 deg, d 2.656, rel. 81
35.72 deg, d 2.514, rel. 34
43.42 deg, d 2.084, rel. 64
68.17 deg, d 1.376, rel. 32

Structure:
Cell: 11.1488 11.1488 11.1488 Å, 129.27 59.84 150.39°
Atoms (fractional coordinates):
Li 0.0554 0.2500 0.8054
Li 0.4446 0.2500 0.1946
Li 0.5554 0.7500 0.8054
Li 0.9446 0.7500 0.1946
Ca 0.0631 0.2322 0.2953
Ca 0.1498 0.6214 0.7712
Ca 0.3502 0.1214 0.4716
Ca 0.4369 0.7322 0.1691
Ca 0.5631 0.2678 0.8309
Ca 0.6498 0.8786 0.5284
Ca 0.8502 0.3786 0.2288
Ca 0.9369 0.7678 0.7047
Ag 0.0757 0.9204 0.9961
Ag 0.2202 0.3050 0.5252
Ag 0.2500 0.7500 0.5000
Ag 0.2798 0.8050 0.0848
Ag 0.4243 0.4204 0.8447
Ag 0.5757 0.5796 0.1553
Ag 0.7202 0.1950 0.9152
Ag 0.7500 0.2500 0.5000
Ag 0.7798 0.6950 0.4748
Ag 0.9243 0.0796 0.0039



3.
# CeNd4
Calculated X-ray powder pattern, Cu Kα X-rays. Input: a PBE-relaxed structure.
Neutral-atom scattering factors, no anomalous dispersion.

Principal peaks in the range 2θ from 10° to 80°, sorted by position:
29.27 deg, d 3.051, rel. 63
32.13 deg, d 2.786, rel. 100
41.88 deg, d 2.157, rel. 24
49.99 deg, d 1.825, rel. 7
53.74 deg, d 1.706, rel. 45
58.99 deg, d 1.566, rel. 17
60.72 deg, d 1.525, rel. 7
67.20 deg, d 1.393, rel. 12
68.81 deg, d 1.364, rel. 10
70.36 deg, d 1.338, rel. 10

Structure:
Cell: 7.0615 7.0615 7.0615 Å, 93.83 93.83 150.05°
Atoms (fractional coordinates):
Ce 0.0000 0.0000 0.0000
Nd 0.2090 0.4077 0.6167
Nd 0.4077 0.7910 0.1986
Nd 0.5923 0.2090 0.8014
Nd 0.7910 0.5923 0.3833



4.
# Sm4Ho3PuS8
Calculated X-ray powder pattern, Cu Kα X-rays. Input: a PBE-relaxed structure.
Neutral-atom scattering factors, no anomalous dispersion.

Principal peaks in the range 2θ from 10° to 80°, sorted by position:
27.52 deg, d 3.241, rel. 21
27.66 deg, d 3.225, rel. 63
32.00 deg, d 2.797, rel. 100
45.80 deg, d 1.981, rel. 36
45.98 deg, d 1.974, rel. 36
54.45 deg, d 1.685, rel. 31
57.12 deg, d 1.613, rel. 19
66.92 deg, d 1.398, rel. 12
75.97 deg, d 1.253, rel. 16
76.24 deg, d 1.249, rel. 16

Structure:
Cell: 7.9250 7.9250 7.9250 Å, 59.75 59.75 59.75°
Atoms (fractional coordinates):
Sm 0.0000 0.0000 0.0000
Sm 0.0000 0.5000 0.5000
Sm 0.5000 0.0000 0.5000
Sm 0.5000 0.5000 0.0000
Ho 0.0000 0.0000 0.5000
Ho 0.0000 0.5000 0.0000
Ho 0.5000 0.0000 0.0000
Pu 0.5000 0.5000 0.5000
S 0.2442 0.7481 0.7481
S 0.2460 0.2460 0.2460
S 0.2519 0.2519 0.7558
S 0.2519 0.7558 0.2519
S 0.7481 0.2442 0.7481
S 0.7481 0.7481 0.2442
S 0.7540 0.7540 0.7540
S 0.7558 0.2519 0.2519



5.
# V2GaNi4
Calculated X-ray powder pattern, Cu Kα X-rays. Input: a PBE-relaxed structure.
Neutral-atom scattering factors, no anomalous dispersion.

Principal peaks in the range 2θ from 10° to 80°, sorted by position:
21.04 deg, d 4.222, rel. 25
38.06 deg, d 2.364, rel. 84
42.06 deg, d 2.148, rel. 51
42.84 deg, d 2.111, rel. 100
43.20 deg, d 2.094, rel. 70
44.39 deg, d 2.041, rel. 100
47.49 deg, d 1.915, rel. 44
49.16 deg, d 1.853, rel. 70
54.46 deg, d 1.685, rel. 48
61.60 deg, d 1.506, rel. 27

Structure:
Cell: 4.9270 4.9270 8.4437 Å, 90.00 90.00 58.62°
Atoms (fractional coordinates):
V 0.1680 0.1680 0.0000
V 0.3320 0.3320 0.5000
V 0.6680 0.6680 0.5000
V 0.8320 0.8320 0.0000
Ga 0.0000 0.0000 0.5000
Ga 0.5000 0.5000 0.0000
Ni 0.0612 0.4388 0.7500
Ni 0.1129 0.8871 0.7726
Ni 0.3871 0.6129 0.2726
Ni 0.4388 0.0612 0.2500
Ni 0.5612 0.9388 0.7500
Ni 0.6129 0.3871 0.7274
Ni 0.8871 0.1129 0.2274
Ni 0.9388 0.5612 0.2500



6.
# KRbPO3
Calculated X-ray powder pattern, Cu Kα X-rays. Input: a PBE-relaxed structure.
Neutral-atom scattering factors, no anomalous dispersion.

Principal peaks in the range 2θ from 10° to 80°, sorted by position:
22.37 deg, d 3.974, rel. 49
27.88 deg, d 3.201, rel. 100
28.63 deg, d 3.118, rel. 97
35.10 deg, d 2.557, rel. 40
36.63 deg, d 2.453, rel. 19
40.38 deg, d 2.233, rel. 51
50.25 deg, d 1.816, rel. 21
50.71 deg, d 1.800, rel. 17
54.79 deg, d 1.676, rel. 29
59.27 deg, d 1.559, rel. 19

Structure:
Cell: 6.2364 6.2364 7.9470 Å, 90.00 90.00 120.00°
Atoms (fractional coordinates):
K 0.0000 0.0000 0.0000
K 0.0000 0.0000 0.5000
Rb 0.3333 0.6667 0.2500
Rb 0.6667 0.3333 0.7500
P 0.3333 0.6667 0.7500
P 0.6667 0.3333 0.2500
O 0.1920 0.3841 0.7500
O 0.1920 0.8080 0.7500
O 0.3841 0.1920 0.2500
O 0.6159 0.8080 0.7500
O 0.8080 0.1920 0.2500
O 0.8080 0.6159 0.2500



7.
# NpReP2Ru
Calculated X-ray powder pattern, Cu Kα X-rays. Input: a PBE-relaxed structure.
Neutral-atom scattering factors, no anomalous dispersion.

Principal peaks in the range 2θ from 10° to 80°, sorted by position:
23.57 deg, d 3.774, rel. 44
35.54 deg, d 2.526, rel. 32
36.16 deg, d 2.484, rel. 100
37.40 deg, d 2.404, rel. 18
44.15 deg, d 2.051, rel. 36
50.65 deg, d 1.802, rel. 13
57.91 deg, d 1.593, rel. 16
59.20 deg, d 1.561, rel. 19
66.66 deg, d 1.403, rel. 17
75.96 deg, d 1.253, rel. 24

Structure:
Cell: 5.6164 5.6164 5.6164 Å, 137.15 137.15 62.20°
Atoms (fractional coordinates):
Np 0.0000 0.0000 0.0000
Re 0.7500 0.2500 0.5000
P 0.3736 0.3736 0.0000
P 0.6264 0.6264 0.0000
Ru 0.2500 0.7500 0.5000